Record 1
For ScOF, a crystal structure in the Materials Project, relaxed with PBE gives the computed powder XRD pattern in this record (Cu Kα (λ = 1.5418 Å)).

Largest 8 diffraction maxima, in order of rising 2θ, 2θ = 5–70°:
h k l	2θ/deg	I/Imax
1 0 0	17.20	23
0 1 1	24.20	22
1 1 -1	28.06	100
1 1 1	31.55	63
2 1 -1	40.23	34
0 2 2	49.58	28
2 2 0	49.87	33
1 2 -2	50.66	33

Cell and atoms:
a b c (Å): 5.232 5.190 5.288
angles (deg): 90.00 99.84 90.00
Space group P2_1/c (No. 14)
Unique sites:
Sc 0.191 0.026 0.288 (multiplicity 4)
O 0.042 0.746 0.512 (multiplicity 4)
F 0.444 0.175 0.658 (multiplicity 4)

---

Record 2
For SeOF2, a crystal structure in the Materials Project, relaxed with PBE gives the computed powder XRD pattern in this record (Cu Kα (λ = 1.5418 Å)).

Largest 8 diffraction maxima, in order of rising 2θ, 2θ = 5–70°:
h k l	2θ/deg	I/Imax
0 1 0	11.31	13
0 2 0	22.73	19
1 1 1	23.72	100
0 0 2	28.08	15
2 0 0	30.98	16
2 0 1	34.14	20
1 1 3	47.14	11
1 4 1	51.37	11

Cell and atoms:
a b c (Å): 5.775 7.825 6.356
angles (deg): 90.00 90.00 90.00
Space group Pca2_1 (No. 29)
Unique sites:
Se 0.044 0.190 0.000 (multiplicity 4)
O 0.246 0.097 0.629 (multiplicity 4)
F 0.128 0.730 0.713 (multiplicity 4)
F 0.159 0.395 0.949 (multiplicity 4)